The following is a calculated PXRD pattern of NpMnI6. It was derived from a PBE-relaxed structure, using Cu Kα, 1.54184 Å.

Largest 12 diffraction maxima, sorted by position, 2θ = 10–80°:
| 2theta | I_rel |
| --- | --- |
| 12.96 | 100.0 |
| 24.81 | 10.4 |
| 25.68 | 60.4 |
| 25.96 | 45.9 |
| 33.34 | 12.0 |
| 33.59 | 13.0 |
| 33.99 | 24.0 |
| 35.92 | 8.1 |
| 39.53 | 24.7 |
| 39.69 | 13.5 |
| 44.53 | 10.0 |
| 48.04 | 12.7 |

Atomic structure:
```
data_NpMnI6
_symmetry_space_group_name_H-M 'P 1'
_symmetry_Int_Tables_number 1
_cell_length_a 7.8767
_cell_length_b 7.8767
_cell_length_c 7.1797
_cell_angle_alpha 90.65
_cell_angle_beta 90.65
_cell_angle_gamma 119.73
loop_
_symmetry_equiv_pos_as_xyz
'x,y,z'
loop_
_atom_site_label
_atom_site_fract_x
_atom_site_fract_y
_atom_site_fract_z
_atom_site_occupancy
Np1 0.0000 0.0000 0.0000 1
Mn1 0.0000 0.0000 0.5000 1
I1 0.0010 0.7026 0.2590 1
I2 0.2968 0.2968 0.2699 1
I3 0.2974 0.9990 0.7410 1
I4 0.7026 0.0010 0.2590 1
I5 0.7032 0.7032 0.7301 1
I6 0.9990 0.2974 0.7410 1
```